Structure and computed powder diffraction line list of Tm2SbRh3 (a crystal structure in Alexandria, relaxed with PBE; Cu Ka).
Intensities are scaled so that the largest is 100.

The 12 most intense peaks (2θ = 10–90°), most intense first:
two_theta, I (rel.), index
38.7, 100, 1 1 3
31.7, 46, 1 1 0
37.5, 44, 0 2 1
39.6, 36, 2 0 2
41.1, 35, 0 1 5
34.4, 30, 1 0 4
66.1, 27, 2 2 0
61.1, 26, 3 0 3
72.6, 20, 2 0 8
62.8, 20, 1 2 5
58.2, 14, 2 1 4
44.2, 12, 0 0 6

abc: 5.6514 5.6514 12.3043
angles: 90.00 90.00 120.00
Space group R-3m (No. 166, hexagonal axes)
Symmetry-distinct sites (fractional):
Tm 0.0000 0.0000 0.1286 x6
Sb 0.0000 0.0000 0.5000 x3
Rh 0.0000 0.5000 0.0000 x9

---

Structure and computed powder diffraction line list of U4Sb8Rh3 (a crystal structure in Alexandria, relaxed with PBE; Cu Ka).
Intensities are scaled so that the largest is 100.

The 12 most intense peaks (2θ = 10–90°), most intense first:
two_theta, I (rel.), index
35.0, 100, 1 1 4
41.2, 40, 2 0 0
71.1, 26, 3 1 4
22.5, 18, 1 0 2
35.9, 15, 1 0 6
59.7, 14, 2 2 0
58.3, 12, 2 0 8
29.3, 10, 0 0 6
30.4, 10, 1 1 2
39.4, 9, 0 0 8
55.7, 9, 2 1 6
54.3, 8, 1 0 10

abc: 4.3830 4.3830 18.3140
angles: 90.00 90.00 90.00
Space group P-4m2 (No. 115)
Symmetry-distinct sites (fractional):
U 0.0000 0.5000 0.1110 x2
U 0.0000 0.5000 0.6191 x2
Sb 0.0000 0.0000 0.2455 x2
Sb 0.0000 0.5000 0.4075 x2
Sb 0.0000 0.5000 0.9193 x2
Sb 0.5000 0.5000 0.2455 x2
Rh 0.0000 0.0000 0.0000 x1
Rh 0.0000 0.0000 0.5000 x1
Rh 0.5000 0.5000 0.5000 x1

---

Structure and computed powder diffraction line list of Y3Sb5Rh6 (a crystal structure in Alexandria, relaxed with PBE; Cu Ka).
Intensities are scaled so that the largest is 100.

The 12 most intense peaks (2θ = 10–90°), most intense first:
two_theta, I (rel.), index
34.2, 100, 1 3 2
42.2, 31, 2 0 0
40.6, 19, 0 6 0
46.9, 18, 1 3 4
17.8, 14, 0 0 2
72.0, 13, 3 3 2
40.8, 13, 1 5 1
33.7, 12, 0 3 3
59.9, 12, 2 6 0
39.9, 11, 1 3 3
39.8, 9, 1 5 0
26.9, 8, 0 0 3

abc: 4.2867 13.3439 9.9526
angles: 90.00 90.00 90.00
Space group Pmmn (No. 59, origin choice 2)
Symmetry-distinct sites (fractional):
Y 0.2500 0.0792 0.2454 x4
Y 0.2500 0.7500 0.2487 x2
Sb 0.2500 0.0831 0.8496 x4
Sb 0.2500 0.6309 0.5265 x4
Sb 0.2500 0.7500 0.8394 x2
Rh 0.2500 0.0555 0.5942 x4
Rh 0.2500 0.2500 0.4873 x2
Rh 0.2500 0.2500 0.9967 x2
Rh 0.2500 0.5839 0.0005 x4

---

Structure and computed powder diffraction line list of Y3Sb2Rh6 (a crystal structure in Alexandria, relaxed with PBE; Cu Ka).
Intensities are scaled so that the largest is 100.

The 12 most intense peaks (2θ = 10–90°), most intense first:
two_theta, I (rel.), index
40.4, 100, 3 3 0
13.2, 31, 1 1 0
42.6, 27, 4 2 0
32.7, 27, 2 2 2
35.4, 25, 3 2 1
73.4, 22, 6 3 3
65.3, 15, 6 2 2
82.7, 15, 7 4 1
46.9, 11, 4 2 2
68.6, 11, 4 4 4
38.0, 9, 4 0 0
87.2, 8, 6 6 0

abc: 9.4823 9.4823 9.4823
angles: 90.00 90.00 90.00
Space group Im-3m (No. 229)
Symmetry-distinct sites (fractional):
Y 0.0000 0.0000 0.2858 x12
Sb 0.2500 0.2500 0.2500 x8
Rh 0.0000 0.3492 0.3492 x24

---

Structure and computed powder diffraction line list of YSb2Rh4 (a crystal structure in Alexandria, relaxed with PBE; Cu Ka).
Intensities are scaled so that the largest is 100.

The 12 most intense peaks (2θ = 10–90°), most intense first:
two_theta, I (rel.), index
36.1, 100, 5 1 1
44.4, 75, 2 1 3
41.4, 66, 0 2 0
34.0, 44, 2 1 2
42.3, 40, 5 1 2
32.7, 26, 1 1 2
46.2, 19, 6 1 2
21.3, 17, 4 0 0
77.6, 16, 2 3 3
38.3, 16, 6 1 0
72.2, 15, 10 1 3
39.8, 14, 7 0 1

abc: 16.7105 4.3636 7.1991
angles: 90.00 90.00 90.00
Space group Pnma (No. 62)
Symmetry-distinct sites (fractional):
Y 0.1451 0.2500 0.0423 x4
Sb 0.0299 0.7500 0.2533 x4
Sb 0.2045 0.2500 0.5975 x4
Rh 0.0372 0.7500 0.8897 x4
Rh 0.0609 0.2500 0.4536 x4
Rh 0.1798 0.7500 0.3778 x4
Rh 0.2100 0.7500 0.7938 x4

---

Structure and computed powder diffraction line list of Y2SbRh2 (a crystal structure in Alexandria, relaxed with PBE; Cu Ka).
Intensities are scaled so that the largest is 100.

The 12 most intense peaks (2θ = 10–90°), most intense first:
two_theta, I (rel.), index
38.5, 100, 1 2 1
33.3, 94, 1 1 2
40.8, 39, 2 0 0
68.2, 33, 1 2 5
21.3, 27, 0 0 2
35.8, 24, 0 1 3
37.7, 20, 0 2 2
43.4, 20, 0 0 4
38.3, 19, 1 0 3
72.7, 15, 3 2 1
61.1, 14, 2 0 4
73.2, 13, 2 3 3

abc: 4.4257 5.8293 8.3320
angles: 90.00 90.00 90.00
Space group Immm (No. 71)
Symmetry-distinct sites (fractional):
Y 0.0000 0.0000 0.2027 x4
Sb 0.0000 0.5000 0.0000 x2
Rh 0.0000 0.2709 0.5000 x4

---

Structure and computed powder diffraction line list of Zn3SbRh3 (a crystal structure in Alexandria, relaxed with PBE; Cu Ka).
Intensities are scaled so that the largest is 100.

The 12 most intense peaks (2θ = 10–90°), most intense first:
two_theta, I (rel.), index
41.7, 100, 2 2 0
42.0, 98, 2 0 2
20.6, 36, 1 0 1
60.7, 32, 0 4 2
76.4, 32, 4 2 2
36.0, 18, 2 1 1
76.2, 16, 6 0 0
76.8, 16, 0 2 4
47.0, 8, 1 3 1
56.3, 5, 3 2 1
20.5, 5, 1 1 0
56.6, 5, 1 1 3

abc: 8.6562 8.6562 5.2601
angles: 90.00 90.00 120.00
Space group R-3m (No. 166, hexagonal axes)
Symmetry-distinct sites (fractional):
Zn 0.0000 0.5000 0.0000 x9
Sb 0.0000 0.0000 0.0000 x3
Rh 0.0000 0.5000 0.5000 x9

---

Structure and computed powder diffraction line list of Sc11Rh4 (a crystal structure in Alexandria, relaxed with PBE; Cu Ka).
Intensities are scaled so that the largest is 100.

The 12 most intense peaks (2θ = 10–90°), most intense first:
two_theta, I (rel.), index
38.0, 100, 4 4 0
23.0, 42, 2 2 2
44.9, 35, 6 2 2
34.8, 23, 3 3 3
68.6, 18, 8 4 4
85.8, 17, 10 6 2
73.4, 13, 6 6 6
60.2, 12, 6 6 2
26.6, 12, 4 0 0
54.8, 12, 8 0 0
61.9, 7, 8 4 0
81.2, 5, 8 8 0

abc: 13.4049 13.4049 13.4049
angles: 90.00 90.00 90.00
Space group Fm-3m (No. 225)
Symmetry-distinct sites (fractional):
Sc 0.0000 0.0000 0.1976 x24
Sc 0.1169 0.1169 0.3831 x32
Sc 0.1576 0.1576 0.1576 x32
Rh 0.0000 0.0000 0.0000 x4
Rh 0.0000 0.0000 0.5000 x4
Rh 0.0000 0.2500 0.2500 x24